This entry pairs a crystal structure of SrMgGa2Pd with its theoretical powder diffraction line list. Radiation: λ = 1.5418 Å (Cu Kα). Structure: a GGA-PBE-relaxed structure.
Intensities are scaled so that the largest is 100.

Structural model:
```
5
Lattice="-2.173 2.217 5.714 2.173 -2.217 5.714 2.173 2.217 -5.714" Properties=species:S:1:pos:R:3 pbc="T T T"
Sr 0.000 0.000 0.000
Mg 2.173 0.000 2.884
Ga 0.000 0.000 6.948
Ga 0.000 2.217 2.931
Pd 0.000 0.000 4.398
```

The 10 most intense peaks (2θ = 5–70°), low angle first:
2theta, d/Å, I/Imax
28.76, 3.104, 43.5
30.95, 2.889, 43.7
31.22, 2.865, 44.5
32.84, 2.727, 100.0
40.70, 2.217, 39.4
41.55, 2.173, 37.1
43.03, 2.102, 32.6
44.60, 2.031, 35.6
44.80, 2.023, 25.8
59.57, 1.552, 25.0

This entry pairs a crystal structure of La9Nd4Tm with its theoretical powder diffraction line list. Radiation: λ = 1.5418 Å (Cu Kα). Structure: a GGA-PBE-relaxed structure.
Intensities are scaled so that the largest is 100.

Structural model:
```
28
Lattice="10.095 0.000 0.000 -5.048 8.743 0.000 0.000 0.000 11.646" Properties=species:S:1:pos:R:3 pbc="T T T"
La -1.929 4.715 2.911
La 0.000 3.626 6.177
La 0.000 3.626 11.292
La -1.907 6.930 6.177
La -1.907 6.930 11.292
La 3.141 1.813 0.354
La 3.141 1.813 5.469
La 1.929 4.715 2.911
La 0.000 8.056 2.911
La 5.048 0.687 8.734
La 3.119 4.028 8.734
La 1.907 6.930 6.177
La 1.907 6.930 11.292
La 6.955 1.813 0.354
La 6.955 1.813 5.469
La 5.048 5.116 0.354
La 5.048 5.116 5.469
La 6.977 4.028 8.734
Nd 0.000 0.000 0.000
Nd 0.000 0.000 5.823
Nd 0.000 1.986 2.911
Nd -3.327 7.750 2.911
Nd 1.720 0.993 8.734
Nd 3.327 7.750 2.911
Nd 8.375 0.993 8.734
Nd 5.048 6.757 8.734
Tm 0.000 5.829 8.734
Tm 5.048 2.914 2.911
```

The 10 most intense peaks (2θ = 5–70°), low angle first:
2theta, d/Å, I/Imax
30.70, 2.912, 37.6
30.80, 2.903, 25.7
31.12, 2.874, 100.0
31.65, 2.827, 37.3
35.57, 2.524, 13.6
47.69, 1.907, 11.5
50.14, 1.819, 23.1
54.54, 1.682, 17.8
54.83, 1.674, 31.2
63.92, 1.456, 25.0

This entry pairs a crystal structure of RbAsPb2Se4 with its theoretical powder diffraction line list. Radiation: λ = 1.5418 Å (Cu Kα). Structure: a GGA-PBE-relaxed structure.
Intensities are scaled so that the largest is 100.

Structural model:
```
16
Lattice="6.480 -6.496 0.000 6.480 6.496 0.000 -5.996 0.000 6.500" Properties=species:S:1:pos:R:3 pbc="T T T"
Rb -1.429 0.000 1.645
Rb 8.393 0.000 4.856
As -1.516 -2.920 5.408
As 8.480 -2.920 1.092
Pb 4.863 0.016 1.636
Pb 1.928 -3.033 1.681
Pb 2.101 0.016 4.864
Pb 5.036 -3.033 4.820
Se 4.454 3.171 1.238
Se 1.948 -0.263 1.807
Se -1.213 -0.562 5.089
Se 2.510 3.171 5.262
Se 4.820 -3.080 1.396
Se 5.016 -0.263 4.693
Se 2.144 -3.080 5.105
Se 8.177 -0.562 1.412
```

The 10 most intense peaks (2θ = 5–70°), low angle first:
2theta, d/Å, I/Imax
11.52, 7.682, 26.6
13.66, 6.481, 16.5
23.16, 3.841, 24.8
27.45, 3.249, 100.0
27.61, 3.231, 50.5
37.77, 2.382, 17.0
39.21, 2.297, 32.2
39.33, 2.291, 31.7
40.82, 2.211, 20.1
49.90, 1.828, 18.1

This entry pairs a crystal structure of Nd4Ho2ErTh with its theoretical powder diffraction line list. Radiation: λ = 1.5418 Å (Cu Kα). Structure: a GGA-PBE-relaxed structure.
Intensities are scaled so that the largest is 100.

Structural model:
```
8
Lattice="6.247 0.000 0.000 2.088 5.895 0.000 0.001 0.012 7.214" Properties=species:S:1:pos:R:3 pbc="T T T"
Nd 0.001 0.004 1.769
Nd 8.335 5.903 5.446
Nd 4.168 2.948 1.768
Nd 4.168 2.960 5.446
Ho 1.044 2.948 0.000
Ho 3.124 0.006 3.607
Er 1.044 2.954 3.607
Th 3.124 0.000 0.000
```

The 10 most intense peaks (2θ = 5–70°), low angle first:
2theta, d/Å, I/Imax
12.27, 7.214, 0.6
17.37, 5.105, 1.0
19.45, 4.563, 0.6
24.68, 3.607, 0.9
30.34, 2.946, 100.0
35.18, 2.551, 50.7
50.60, 1.804, 36.4
60.14, 1.539, 36.1
60.20, 1.537, 7.2
63.12, 1.473, 12.5

This entry pairs a crystal structure of Na4Tb3SnSe8 with its theoretical powder diffraction line list. Radiation: λ = 1.5418 Å (Cu Kα). Structure: a GGA-PBE-relaxed structure.
Intensities are scaled so that the largest is 100.

Structural model:
```
16
Lattice="4.163 2.403 7.010 -4.163 2.403 7.010 0.000 -4.807 7.010" Properties=species:S:1:pos:R:3 pbc="T T T"
Na 0.000 0.000 0.000
Na -2.081 -1.202 7.010
Na -2.081 1.202 14.019
Na 0.000 2.403 7.010
Tb -4.163 0.000 10.514
Tb -2.081 1.202 3.505
Tb 2.081 1.202 3.505
Sn 0.000 0.000 10.514
Se 0.000 0.000 5.121
Se -2.073 -1.197 12.119
Se 0.000 -2.394 8.909
Se -2.073 1.197 8.909
Se 2.073 -1.197 12.119
Se 0.000 2.394 12.119
Se 2.073 1.197 8.909
Se 0.000 0.000 15.908
```

The 10 most intense peaks (2θ = 5–70°), low angle first:
2theta, d/Å, I/Imax
12.63, 7.010, 48.1
25.06, 3.553, 19.6
30.06, 2.973, 100.0
39.03, 2.308, 13.3
42.57, 2.124, 36.7
43.48, 2.081, 36.6
45.46, 1.995, 12.4
53.76, 1.705, 19.2
54.32, 1.689, 6.8
62.48, 1.487, 11.6

This entry pairs a crystal structure of LiSi2Ag8O8 with its theoretical powder diffraction line list. Radiation: λ = 1.5418 Å (Cu Kα). Structure: a GGA-PBE-relaxed structure.
Intensities are scaled so that the largest is 100.

Structural model:
```
19
Lattice="4.509 0.000 0.000 -0.248 7.478 0.000 -2.225 -2.342 8.216" Properties=species:S:1:pos:R:3 pbc="T T T"
Li 0.000 0.000 0.000
Si -0.157 4.386 5.984
Si 2.192 0.750 2.232
Ag -0.038 3.227 1.332
Ag -0.462 5.812 2.985
Ag 0.083 1.494 4.697
Ag -0.121 0.149 7.547
Ag 2.156 4.987 0.669
Ag 1.952 3.641 3.519
Ag 2.497 -0.676 5.231
Ag 2.073 1.909 6.884
O -1.085 3.099 5.506
O -0.842 -1.857 6.565
O 1.128 1.183 1.076
O 0.643 4.941 4.609
O 1.392 0.195 3.607
O 0.907 3.952 7.140
O 2.877 6.993 1.651
O 3.120 2.037 2.710
```

The 10 most intense peaks (2θ = 5–70°), low angle first:
2theta, d/Å, I/Imax
12.31, 7.191, 53.9
13.97, 6.341, 65.2
32.95, 2.719, 100.0
33.12, 2.705, 88.5
33.44, 2.680, 86.3
34.01, 2.636, 74.9
37.92, 2.373, 41.6
38.24, 2.354, 45.1
40.02, 2.253, 37.4
56.05, 1.641, 20.4